No. 1
Cd13Hg5: simulated powder diffraction line list (Cu Kα (weighted mean of Kα1 and Kα2)), based on a structure optimized by DFT (PBE).
Intensities are scaled so that the largest is 100.

Structural model:
```
data_Cd13Hg5
_space_group_name_H-M_alt 'C 1 2/m 1'
_space_group_IT_number 12
_cell_length_a 28.164
_cell_length_b 4.525
_cell_length_c 6.423
_cell_angle_alpha 90.00
_cell_angle_beta 98.75
_cell_angle_gamma 90.00
loop_
_space_group_symop_operation_xyz
'x,y,z'
'-x,-y,-z'
'-x,y,-z'
'x,-y,z'
'x+1/2,y+1/2,z'
'-x+1/2,-y+1/2,-z'
'-x+1/2,y+1/2,-z'
'x+1/2,-y+1/2,z'
loop_
_atom_site_label
_atom_site_type_symbol
_atom_site_fract_x
_atom_site_fract_y
_atom_site_fract_z
Cd1 Cd 0.000 0.000 0.000
Cd2 Cd 0.055 0.500 0.296
Cd3 Cd 0.056 0.500 0.795
Cd4 Cd 0.112 0.000 0.577
Cd5 Cd 0.167 0.500 0.340
Cd6 Cd 0.221 0.000 0.112
Cd7 Cd 0.223 0.000 0.610
Hg1 Hg 0.000 0.000 0.500
Hg2 Hg 0.110 0.000 0.081
Hg3 Hg 0.168 0.500 0.836
```

Most intense lines, 10° ≤ 2θ ≤ 80°, low angle first:
- (1 1 -2), d = 2.618 Å, 34.25 deg, I 100
- (9 1 0), d = 2.554 Å, 35.14 deg, I 97
- (10 0 -2), d = 2.271 Å, 39.69 deg, I 34
- (0 2 0), d = 2.263 Å, 39.84 deg, I 34
- (8 0 2), d = 2.185 Å, 41.31 deg, I 30
- (10 2 -2), d = 1.603 Å, 57.47 deg, I 32
- (8 2 2), d = 1.572 Å, 58.74 deg, I 21
- (9 3 0), d = 1.356 Å, 69.31 deg, I 13

No. 2
CdHgI4: simulated powder diffraction line list (Cu Kα (weighted mean of Kα1 and Kα2)), based on a structure optimized by DFT (PBE).
Intensities are scaled so that the largest is 100.

Structural model:
```
data_CdHgI4
_space_group_name_H-M_alt 'P -4 m 2'
_space_group_IT_number 115
_cell_length_a 4.468
_cell_length_b 4.468
_cell_length_c 13.142
_cell_angle_alpha 90.00
_cell_angle_beta 90.00
_cell_angle_gamma 90.00
loop_
_space_group_symop_operation_xyz
'x,y,z'
'y,-x,-z'
'-x,-y,z'
'-y,x,-z'
'-x,y,z'
'-y,-x,-z'
'x,-y,z'
'y,x,-z'
loop_
_atom_site_label
_atom_site_type_symbol
_atom_site_fract_x
_atom_site_fract_y
_atom_site_fract_z
Cd1 Cd 0.000 0.000 0.000
Hg1 Hg 0.500 0.500 0.500
I1 I 0.000 0.500 0.133
I2 I 0.000 0.500 0.636
```

Most intense lines, 10° ≤ 2θ ≤ 80°, low angle first:
- (0 0 2), d = 6.571 Å, 13.48 deg, I 23
- (1 0 1), d = 4.230 Å, 21.00 deg, I 53
- (1 0 2), d = 3.695 Å, 24.09 deg, I 100
- (1 0 3), d = 3.128 Å, 28.54 deg, I 25
- (1 1 2), d = 2.847 Å, 31.42 deg, I 28
- (1 1 4), d = 2.277 Å, 39.57 deg, I 68
- (2 0 0), d = 2.234 Å, 40.37 deg, I 33
- (2 1 2), d = 1.912 Å, 47.56 deg, I 31

No. 3
CdIn2Hg: simulated powder diffraction line list (Cu Kα (weighted mean of Kα1 and Kα2)), based on a structure optimized by DFT (PBE).
Intensities are scaled so that the largest is 100.

Structural model:
```
data_CdIn2Hg
_space_group_name_H-M_alt 'F -4 3 m'
_space_group_IT_number 216
_space_group_name_Hall 'F -4 2 3'
_cell_length_a 7.462
_cell_length_b 7.462
_cell_length_c 7.462
_cell_angle_alpha 90.00
_cell_angle_beta 90.00
_cell_angle_gamma 90.00
loop_
_atom_site_label
_atom_site_type_symbol
_atom_site_fract_x
_atom_site_fract_y
_atom_site_fract_z
Cd1 Cd 0.000 0.000 0.000
In1 In 0.000 0.000 0.500
In2 In 0.250 0.250 0.750
Hg1 Hg 0.250 0.250 0.250
```

Most intense lines, 10° ≤ 2θ ≤ 80°, low angle first:
- (1 1 1), d = 4.308 Å, 20.62 deg, I 5
- (2 0 0), d = 3.731 Å, 23.85 deg, I 3
- (2 2 0), d = 2.638 Å, 33.98 deg, I 100
- (3 1 1), d = 2.250 Å, 40.08 deg, I 3
- (4 0 0), d = 1.865 Å, 48.82 deg, I 18
- (3 3 1), d = 1.712 Å, 53.53 deg, I 1
- (4 2 2), d = 1.523 Å, 60.81 deg, I 36
- (4 4 0), d = 1.319 Å, 71.53 deg, I 11

No. 4
LaCdHg2: simulated powder diffraction line list (Cu Kα (weighted mean of Kα1 and Kα2)), based on a structure optimized by DFT (PBE).
Intensities are scaled so that the largest is 100.

Structural model:
```
data_LaCdHg2
_space_group_name_H-M_alt 'P n m a'
_space_group_IT_number 62
_cell_length_a 9.947
_cell_length_b 7.671
_cell_length_c 5.315
_cell_angle_alpha 90.00
_cell_angle_beta 90.00
_cell_angle_gamma 90.00
loop_
_space_group_symop_operation_xyz
'x,y,z'
'-x,-y,-z'
'-x+1/2,-y,z+1/2'
'x+1/2,y,-z+1/2'
'x+1/2,-y+1/2,-z+1/2'
'-x+1/2,y+1/2,z+1/2'
'-x,y+1/2,-z'
'x,-y+1/2,z'
loop_
_atom_site_label
_atom_site_type_symbol
_atom_site_fract_x
_atom_site_fract_y
_atom_site_fract_z
La1 La 0.124 0.250 0.249
Cd1 Cd 0.124 0.750 0.246
Hg1 Hg 0.126 0.009 0.750
```

Most intense lines, 10° ≤ 2θ ≤ 80°, low angle first:
- (0 0 2), d = 2.658 Å, 33.73 deg, I 26
- (2 2 1), d = 2.637 Å, 34.00 deg, I 100
- (4 0 0), d = 2.487 Å, 36.12 deg, I 21
- (4 0 2), d = 1.816 Å, 50.25 deg, I 17
- (0 4 2), d = 1.555 Å, 59.44 deg, I 10
- (2 2 3), d = 1.530 Å, 60.50 deg, I 19
- (6 2 1), d = 1.463 Å, 63.60 deg, I 16
- (4 4 2), d = 1.318 Å, 71.56 deg, I 11

No. 5
Li8Cd2Hg: simulated powder diffraction line list (Cu Kα (weighted mean of Kα1 and Kα2)), based on a structure optimized by DFT (PBE).
Intensities are scaled so that the largest is 100.

Structural model:
```
data_Li8Cd2Hg
_space_group_name_H-M_alt 'C 1 2/m 1'
_space_group_IT_number 12
_cell_length_a 7.909
_cell_length_b 4.573
_cell_length_c 10.635
_cell_angle_alpha 90.00
_cell_angle_beta 104.30
_cell_angle_gamma 90.00
loop_
_space_group_symop_operation_xyz
'x,y,z'
'-x,-y,-z'
'-x,y,-z'
'x,-y,z'
'x+1/2,y+1/2,z'
'-x+1/2,-y+1/2,-z'
'-x+1/2,y+1/2,-z'
'x+1/2,-y+1/2,z'
loop_
_atom_site_label
_atom_site_type_symbol
_atom_site_fract_x
_atom_site_fract_y
_atom_site_fract_z
Li1 Li 0.089 0.000 0.267
Li2 Li 0.138 0.500 0.913
Li3 Li 0.179 0.000 0.538
Li4 Li 0.229 0.500 0.186
Cd1 Cd 0.047 0.500 0.642
Hg1 Hg 0.000 0.000 0.000
```

Most intense lines, 10° ≤ 2θ ≤ 80°, low angle first:
- (2 0 0), d = 3.834 Å, 23.20 deg, I 100
- (1 1 1), d = 3.522 Å, 25.28 deg, I 43
- (0 0 3), d = 3.435 Å, 25.94 deg, I 27
- (2 0 -3), d = 2.947 Å, 30.33 deg, I 33
- (0 2 0), d = 2.290 Å, 39.34 deg, I 53
- (3 1 -1), d = 2.284 Å, 39.45 deg, I 26
- (0 2 3), d = 1.902 Å, 47.81 deg, I 31
- (3 3 -1), d = 1.320 Å, 71.46 deg, I 18

No. 6
LiCdHg: simulated powder diffraction line list (Cu Kα (weighted mean of Kα1 and Kα2)), based on a structure optimized by DFT (PBE).
Intensities are scaled so that the largest is 100.

Structural model:
```
data_LiCdHg
_space_group_name_H-M_alt 'P 4/n m m'
_space_group_IT_number 129
_cell_length_a 3.470
_cell_length_b 3.470
_cell_length_c 9.621
_cell_angle_alpha 90.00
_cell_angle_beta 90.00
_cell_angle_gamma 90.00
loop_
_space_group_symop_operation_xyz
'x,y,z'
'-x,-y,-z'
'-y+1/2,x,z'
'y+1/2,-x,-z'
'-x+1/2,-y+1/2,z'
'x+1/2,y+1/2,-z'
'y,-x+1/2,z'
'-y,x+1/2,-z'
'x+1/2,-y,-z'
'-x+1/2,y,z'
'-y,-x,-z'
'y,x,z'
'-x,y+1/2,-z'
'x,-y+1/2,z'
'y+1/2,x+1/2,-z'
'-y+1/2,-x+1/2,z'
loop_
_atom_site_label
_atom_site_type_symbol
_atom_site_fract_x
_atom_site_fract_y
_atom_site_fract_z
Li1 Li 0.250 0.250 0.243
Cd1 Cd 0.250 0.250 0.589
Hg1 Hg 0.250 0.250 0.901
```

Most intense lines, 10° ≤ 2θ ≤ 80°, low angle first:
- (0 0 2), d = 4.811 Å, 18.44 deg, I 19
- (1 0 1), d = 3.265 Å, 27.32 deg, I 74
- (1 1 0), d = 2.454 Å, 36.62 deg, I 60
- (1 0 3), d = 2.355 Å, 38.21 deg, I 100
- (2 0 0), d = 1.735 Å, 52.75 deg, I 21
- (1 1 4), d = 1.718 Å, 53.33 deg, I 20
- (2 1 1), d = 1.532 Å, 60.42 deg, I 16
- (2 1 3), d = 1.397 Å, 66.99 deg, I 38

No. 7
LiCdHg: simulated powder diffraction line list (Cu Kα (weighted mean of Kα1 and Kα2)), based on a structure optimized by DFT (PBE).
Intensities are scaled so that the largest is 100.

Structural model:
```
data_LiCdHg
_space_group_name_H-M_alt 'P 4/m m m'
_space_group_IT_number 123
_space_group_name_Hall '-P 4 2'
_cell_length_a 3.464
_cell_length_b 3.464
_cell_length_c 9.643
_cell_angle_alpha 90.00
_cell_angle_beta 90.00
_cell_angle_gamma 90.00
loop_
_atom_site_label
_atom_site_type_symbol
_atom_site_fract_x
_atom_site_fract_y
_atom_site_fract_z
Li1 Li 0.000 0.000 0.000
Li2 Li 0.500 0.500 0.500
Cd1 Cd 0.000 0.000 0.343
Hg1 Hg 0.500 0.500 0.157
```

Most intense lines, 10° ≤ 2θ ≤ 80°, low angle first:
- (0 0 2), d = 4.821 Å, 18.40 deg, I 21
- (1 0 1), d = 3.260 Å, 27.35 deg, I 69
- (1 1 0), d = 2.450 Å, 36.69 deg, I 58
- (1 0 3), d = 2.356 Å, 38.19 deg, I 100
- (2 0 0), d = 1.732 Å, 52.85 deg, I 20
- (1 1 4), d = 1.718 Å, 53.32 deg, I 18
- (2 1 3), d = 1.396 Å, 67.06 deg, I 38
- (1 1 6), d = 1.344 Å, 70.02 deg, I 15

No. 8
Li3Cd5Hg: simulated powder diffraction line list (Cu Kα (weighted mean of Kα1 and Kα2)), based on a structure optimized by DFT (PBE).
Intensities are scaled so that the largest is 100.

Structural model:
```
data_Li3Cd5Hg
_space_group_name_H-M_alt 'P -6 2 m'
_space_group_IT_number 189
_space_group_name_Hall 'P -6 -2'
_cell_length_a 7.3751
_cell_length_b 7.3751
_cell_length_c 4.0595
_cell_angle_alpha 90.00
_cell_angle_beta 90.00
_cell_angle_gamma 120.00
loop_
_atom_site_label
_atom_site_type_symbol
_atom_site_fract_x
_atom_site_fract_y
_atom_site_fract_z
Li1 Li 0.0000 0.5877 0.0000
Cd1 Cd 0.0000 0.2649 0.5000
Cd2 Cd 0.3333 0.6667 0.5000
Hg1 Hg 0.0000 0.0000 0.0000
```

Most intense lines, 10° ≤ 2θ ≤ 80°, low angle first:
- (1 0 0), d = 6.387 Å, 13.87 deg, I 61
- (1 1 0), d = 3.688 Å, 24.13 deg, I 84
- (1 0 1), d = 3.426 Å, 26.01 deg, I 46
- (1 1 1), d = 2.730 Å, 32.81 deg, I 42
- (2 0 1), d = 2.510 Å, 35.77 deg, I 82
- (3 0 0), d = 2.129 Å, 42.46 deg, I 50
- (2 1 1), d = 2.075 Å, 43.62 deg, I 100
- (3 2 1), d = 1.378 Å, 68.02 deg, I 33

No. 9
MgCdHgS3: simulated powder diffraction line list (Cu Kα (weighted mean of Kα1 and Kα2)), based on a structure optimized by DFT (PBE).
Intensities are scaled so that the largest is 100.

Structural model:
```
data_MgCdHgS3
_space_group_name_H-M_alt 'C m c m'
_space_group_IT_number 63
_space_group_name_Hall '-C 2c 2'
_cell_length_a 3.674
_cell_length_b 13.015
_cell_length_c 11.582
_cell_angle_alpha 90.00
_cell_angle_beta 90.00
_cell_angle_gamma 90.00
loop_
_atom_site_label
_atom_site_type_symbol
_atom_site_fract_x
_atom_site_fract_y
_atom_site_fract_z
Mg1 Mg 0.000 0.214 0.250
Cd1 Cd 0.000 0.000 0.000
Hg1 Hg 0.000 0.490 0.250
S1 S 0.000 0.149 0.750
S2 S 0.000 0.374 0.589
```

Most intense lines, 10° ≤ 2θ ≤ 80°, low angle first:
- (0 2 0), d = 6.507 Å, 13.61 deg, I 100
- (1 1 2), d = 3.018 Å, 29.60 deg, I 61
- (0 0 4), d = 2.895 Å, 30.88 deg, I 21
- (0 2 4), d = 2.645 Å, 33.89 deg, I 24
- (1 3 2), d = 2.524 Å, 35.58 deg, I 76
- (0 4 4), d = 2.163 Å, 41.76 deg, I 19
- (1 5 2), d = 1.994 Å, 45.49 deg, I 24
- (1 1 6), d = 1.694 Å, 54.13 deg, I 18

No. 10
CdHgNO: simulated powder diffraction line list (Cu Kα (weighted mean of Kα1 and Kα2)), based on a structure optimized by DFT (PBE).
Intensities are scaled so that the largest is 100.

Structural model:
```
data_CdHgNO
_space_group_name_H-M_alt 'P c a 21'
_space_group_IT_number 29
_cell_length_a 6.275
_cell_length_b 7.272
_cell_length_c 5.908
_cell_angle_alpha 90.00
_cell_angle_beta 90.00
_cell_angle_gamma 90.00
loop_
_space_group_symop_operation_xyz
'x,y,z'
'-x,-y,z+1/2'
'-x+1/2,y,z+1/2'
'x+1/2,-y,z'
loop_
_atom_site_label
_atom_site_type_symbol
_atom_site_fract_x
_atom_site_fract_y
_atom_site_fract_z
Cd1 Cd 0.087 0.122 0.000
Hg1 Hg 0.094 0.610 0.995
N1 N 0.081 0.630 0.629
O1 O 0.081 0.124 0.625
```

Most intense lines, 10° ≤ 2θ ≤ 80°, low angle first:
- (1 2 0), d = 3.144 Å, 28.39 deg, I 33
- (0 0 2), d = 2.954 Å, 30.26 deg, I 31
- (2 0 1), d = 2.775 Å, 32.26 deg, I 100
- (1 2 2), d = 2.153 Å, 41.97 deg, I 19
- (3 2 0), d = 1.813 Å, 50.33 deg, I 17
- (2 0 3), d = 1.669 Å, 55.03 deg, I 28
- (3 2 2), d = 1.545 Å, 59.85 deg, I 17
- (2 4 1), d = 1.520 Å, 60.95 deg, I 11

No. 11
Tm4CdHgN2: simulated powder diffraction line list (Cu Kα (weighted mean of Kα1 and Kα2)), based on a structure optimized by DFT (PBE).
Intensities are scaled so that the largest is 100.

Structural model:
```
data_Tm4CdHgN2
_space_group_name_H-M_alt 'P -6 m 2'
_space_group_IT_number 187
_space_group_name_Hall 'P -6 2'
_cell_length_a 3.4455
_cell_length_b 3.4455
_cell_length_c 15.3967
_cell_angle_alpha 90.00
_cell_angle_beta 90.00
_cell_angle_gamma 120.00
loop_
_atom_site_label
_atom_site_type_symbol
_atom_site_fract_x
_atom_site_fract_y
_atom_site_fract_z
Tm1 Tm 0.0000 0.0000 0.1586
Tm2 Tm 0.3333 0.6667 0.3306
Cd1 Cd 0.0000 0.0000 0.5000
Hg1 Hg 0.3333 0.6667 0.0000
N1 N 0.6667 0.3333 0.2460
```

Most intense lines, 10° ≤ 2θ ≤ 80°, low angle first:
- (1 0 0), d = 2.984 Å, 29.95 deg, I 23
- (1 0 3), d = 2.580 Å, 34.78 deg, I 100
- (0 0 6), d = 2.566 Å, 34.97 deg, I 20
- (1 0 6), d = 1.946 Å, 46.69 deg, I 16
- (1 1 0), d = 1.723 Å, 53.17 deg, I 21
- (1 0 9), d = 1.484 Å, 62.59 deg, I 17
- (2 0 3), d = 1.433 Å, 65.11 deg, I 16
- (1 1 6), d = 1.430 Å, 65.23 deg, I 20

No. 12
CdHgPO: simulated powder diffraction line list (Cu Kα (weighted mean of Kα1 and Kα2)), based on a structure optimized by DFT (PBE).
Intensities are scaled so that the largest is 100.

Structural model:
```
data_CdHgPO
_space_group_name_H-M_alt 'P m c 21'
_space_group_IT_number 26
_cell_length_a 3.483
_cell_length_b 7.156
_cell_length_c 6.623
_cell_angle_alpha 90.00
_cell_angle_beta 90.00
_cell_angle_gamma 90.00
loop_
_space_group_symop_operation_xyz
'x,y,z'
'-x,-y,z+1/2'
'-x,y,z'
'x,-y,z+1/2'
loop_
_atom_site_label
_atom_site_type_symbol
_atom_site_fract_x
_atom_site_fract_y
_atom_site_fract_z
Cd1 Cd 0.000 0.213 0.000
Hg1 Hg 0.500 0.330 0.552
P1 P 0.000 0.130 0.377
O1 O 0.500 0.375 0.893
```

Most intense lines, 10° ≤ 2θ ≤ 80°, low angle first:
- (0 2 0), d = 3.578 Å, 24.88 deg, I 29
- (0 0 2), d = 3.312 Å, 26.92 deg, I 44
- (0 2 1), d = 3.148 Å, 28.35 deg, I 36
- (1 1 0), d = 3.132 Å, 28.50 deg, I 23
- (1 1 1), d = 2.831 Å, 31.60 deg, I 100
- (1 3 0), d = 1.968 Å, 46.12 deg, I 24
- (1 1 3), d = 1.804 Å, 50.58 deg, I 31
- (1 3 2), d = 1.692 Å, 54.21 deg, I 20

No. 13
CdHg2TeO6: simulated powder diffraction line list (Cu Kα (weighted mean of Kα1 and Kα2)), based on a structure optimized by DFT (PBE).
Intensities are scaled so that the largest is 100.

Structural model:
```
data_CdHg2TeO6
_space_group_name_H-M_alt 'P -1'
_space_group_IT_number 2
_cell_length_a 7.131
_cell_length_b 7.337
_cell_length_c 7.486
_cell_angle_alpha 74.19
_cell_angle_beta 66.77
_cell_angle_gamma 63.47
loop_
_space_group_symop_operation_xyz
'x,y,z'
'-x,-y,-z'
loop_
_atom_site_label
_atom_site_type_symbol
_atom_site_fract_x
_atom_site_fract_y
_atom_site_fract_z
Cd1 Cd 0.171 0.353 0.304
Hg1 Hg 0.164 0.858 0.287
Hg2 Hg 0.338 0.148 0.716
Te1 Te 0.298 0.636 0.808
O1 O 0.042 0.305 0.653
O2 O 0.111 0.735 0.660
O3 O 0.232 0.847 0.936
O4 O 0.278 0.399 0.966
O5 O 0.352 0.017 0.264
O6 O 0.417 0.431 0.363
```

Most intense lines, 10° ≤ 2θ ≤ 80°, low angle first:
- (0 0 2), d = 3.416 Å, 26.09 deg, I 79
- (2 0 1), d = 3.162 Å, 28.22 deg, I 49
- (0 2 1), d = 3.086 Å, 28.93 deg, I 78
- (2 0 0), d = 3.026 Å, 29.52 deg, I 25
- (2 2 0), d = 2.820 Å, 31.74 deg, I 100
- (2 2 2), d = 2.785 Å, 32.14 deg, I 35
- (2 0 2), d = 2.736 Å, 32.74 deg, I 22
- (2 4 1), d = 1.826 Å, 49.94 deg, I 22